Computed X-ray powder pattern
Compound: PrPa2Sb
Radiation: copper Kα
Structure: the PBE geometry in Alexandria

Largest 8 diffraction maxima, in order of falling intensity, 2θ = 15–90°:
d = 2.725 Å, 32.9 deg, intensity 100, hkl 1 1 1; d = 2.278 Å, 39.6 deg, intensity 30, hkl 2 0 0; d = 1.387 Å, 67.6 deg, intensity 26, hkl 3 1 1; d = 1.700 Å, 53.9 deg, intensity 25, hkl 2 0 2; d = 2.554 Å, 35.1 deg, intensity 21, hkl 0 0 2; d = 1.505 Å, 61.6 deg, intensity 17, hkl 1 1 3; d = 1.363 Å, 68.9 deg, intensity 13, hkl 2 2 2; d = 1.100 Å, 89.0 deg, intensity 13, hkl 3 1 3

a b c (Å): 4.5561 4.5561 5.1075
angles (deg): 90.00 90.00 90.00
Space group P4/mmm (No. 123)
Symmetry-distinct sites (fractional):
Pr 0.0000 0.0000 0.0000 x1
Pa 0.0000 0.5000 0.5000 x2
Sb 0.5000 0.5000 0.0000 x1